Record 1
Starting from a DFT-relaxed cell (PBE, the Materials Project), the powder XRD pattern of Tm3CrS6 was simulated for a wavelength of 1.5418 Å.

Crystal structure
a b c (Å): 13.135 15.830 3.729
angles (deg): 90.00 90.00 90.00
Fractional positions:
Tm  0.050  0.221  0.000
Tm  0.181  0.648  0.000
Tm  0.245  0.902  0.500
Tm  0.255  0.402  0.000
Tm  0.319  0.148  0.500
Tm  0.450  0.721  0.500
Tm  0.550  0.279  0.500
Tm  0.681  0.852  0.500
Tm  0.745  0.598  0.000
Tm  0.755  0.098  0.500
Tm  0.819  0.352  0.000
Tm  0.950  0.779  0.000
Cr  0.000  0.000  0.500
Cr  0.000  0.500  0.500
Cr  0.500  0.000  0.000
Cr  0.500  0.500  0.000
S  0.023  0.402  0.000
S  0.083  0.924  0.000
S  0.104  0.754  0.500
S  0.120  0.110  0.500
S  0.182  0.521  0.500
S  0.189  0.290  0.500
S  0.311  0.790  0.000
S  0.318  0.021  0.000
S  0.380  0.610  0.000
S  0.396  0.254  0.000
S  0.417  0.424  0.500
S  0.477  0.902  0.500
S  0.523  0.098  0.500
S  0.583  0.576  0.500
S  0.604  0.746  0.000
S  0.620  0.390  0.000
S  0.682  0.979  0.000
S  0.689  0.210  0.000
S  0.811  0.710  0.500
S  0.818  0.479  0.500
S  0.880  0.890  0.500
S  0.896  0.246  0.500
S  0.917  0.076  0.000
S  0.977  0.598  0.000

Largest 10 diffraction maxima, sorted by position, 2θ from 10° to 90°:
- 2θ = 26.29°, I = 97
- 2θ = 27.30°, I = 54
- 2θ = 27.75°, I = 54
- 2θ = 28.09°, I = 54
- 2θ = 32.41°, I = 49
- 2θ = 35.92°, I = 100
- 2θ = 37.26°, I = 62
- 2θ = 42.48°, I = 72
- 2θ = 48.87°, I = 67
- 2θ = 50.66°, I = 46

***

Record 2
Starting from a DFT-relaxed cell (PBE, the Materials Project), the powder XRD pattern of Tb3Ga8Ag3 was simulated for a wavelength of 1.5418 Å.

Crystal structure
a b c (Å): 8.357 8.357 8.357
angles (deg): 149.43 110.11 78.18
Fractional positions:
Tb  0.000  0.000  0.000
Tb  0.295  0.295  0.000
Tb  0.705  0.705  0.000
Ga  0.026  0.658  0.368
Ga  0.138  0.858  0.281
Ga  0.289  0.658  0.632
Ga  0.423  0.142  0.281
Ga  0.577  0.858  0.719
Ga  0.711  0.342  0.368
Ga  0.862  0.142  0.719
Ga  0.974  0.342  0.632
Ag  0.311  0.500  0.811
Ag  0.500  0.000  0.500
Ag  0.689  0.500  0.189

Largest 10 diffraction maxima, sorted by position, 2θ from 10° to 90°:
- 2θ = 33.37°, I = 18
- 2θ = 34.58°, I = 100
- 2θ = 34.71°, I = 19
- 2θ = 34.95°, I = 20
- 2θ = 35.63°, I = 23
- 2θ = 37.46°, I = 31
- 2θ = 40.96°, I = 38
- 2θ = 41.78°, I = 18
- 2θ = 59.93°, I = 18
- 2θ = 67.35°, I = 18

***

Record 3
Starting from a DFT-relaxed cell (PBE, the Materials Project), the powder XRD pattern of Mg5Si9 was simulated for a wavelength of 1.5418 Å.

Crystal structure
a b c (Å): 5.572 7.476 12.706
angles (deg): 85.20 79.73 73.86
Fractional positions:
Mg  0.000  0.000  0.000
Mg  0.005  0.595  0.712
Mg  0.080  0.266  0.160
Mg  0.125  0.586  0.304
Mg  0.202  0.146  0.761
Mg  0.490  0.110  0.536
Mg  0.532  0.830  0.358
Mg  0.564  0.410  0.711
Mg  0.656  0.700  0.950
Mg  0.752  0.011  0.805
Si  0.025  0.992  0.316
Si  0.027  0.841  0.494
Si  0.135  0.622  0.072
Si  0.199  0.725  0.861
Si  0.205  0.393  0.912
Si  0.312  0.830  0.160
Si  0.338  0.541  0.513
Si  0.345  0.208  0.335
Si  0.461  0.050  0.026
Si  0.514  0.802  0.724
Si  0.566  0.402  0.086
Si  0.647  0.397  0.358
Si  0.655  0.102  0.178
Si  0.679  0.684  0.547
Si  0.715  0.595  0.192
Si  0.789  0.339  0.899
Si  0.956  0.113  0.599
Si  0.973  0.382  0.484

Largest 10 diffraction maxima, sorted by position, 2θ from 10° to 90°:
- 2θ = 35.93°, I = 41
- 2θ = 35.96°, I = 100
- 2θ = 36.19°, I = 69
- 2θ = 36.70°, I = 38
- 2θ = 36.86°, I = 52
- 2θ = 37.52°, I = 90
- 2θ = 38.35°, I = 60
- 2θ = 39.07°, I = 52
- 2θ = 39.23°, I = 64
- 2θ = 43.42°, I = 47

***

Record 4
Starting from a DFT-relaxed cell (PBE, the Materials Project), the powder XRD pattern of YB4Rh was simulated for a wavelength of 1.5418 Å.

Crystal structure
a b c (Å): 5.971 11.586 3.576
angles (deg): 90.00 90.00 90.00
Fractional positions:
Y  0.131  0.149  0.000
Y  0.369  0.649  0.000
Y  0.631  0.351  0.000
Y  0.869  0.851  0.000
B  0.022  0.692  0.500
B  0.112  0.547  0.500
B  0.136  0.969  0.500
B  0.210  0.813  0.500
B  0.290  0.313  0.500
B  0.364  0.469  0.500
B  0.388  0.047  0.500
B  0.478  0.192  0.500
B  0.522  0.808  0.500
B  0.612  0.953  0.500
B  0.636  0.531  0.500
B  0.710  0.687  0.500
B  0.790  0.187  0.500
B  0.864  0.031  0.500
B  0.888  0.453  0.500
B  0.978  0.308  0.500
Rh  0.142  0.406  0.000
Rh  0.358  0.906  0.000
Rh  0.642  0.094  0.000
Rh  0.858  0.594  0.000

Largest 10 diffraction maxima, sorted by position, 2θ from 10° to 90°:
- 2θ = 24.90°, I = 72
- 2θ = 30.91°, I = 78
- 2θ = 34.41°, I = 18
- 2θ = 38.10°, I = 27
- 2θ = 40.09°, I = 100
- 2θ = 42.94°, I = 26
- 2θ = 46.05°, I = 39
- 2θ = 51.08°, I = 19
- 2θ = 60.90°, I = 22
- 2θ = 68.06°, I = 13

***

Record 5
Starting from a DFT-relaxed cell (PBE, the Materials Project), the powder XRD pattern of ThMn2 was simulated for a wavelength of 1.5418 Å.

Crystal structure
a b c (Å): 5.343 5.343 8.470
angles (deg): 90.00 90.00 120.00
Fractional positions:
Th  0.333  0.667  0.061
Th  0.333  0.667  0.439
Th  0.667  0.333  0.561
Th  0.667  0.333  0.939
Mn  0.000  0.000  0.000
Mn  0.000  0.000  0.500
Mn  0.160  0.320  0.750
Mn  0.160  0.840  0.750
Mn  0.320  0.160  0.250
Mn  0.680  0.840  0.750
Mn  0.840  0.160  0.250
Mn  0.840  0.680  0.250

Largest 10 diffraction maxima, sorted by position, 2θ from 10° to 90°:
- 2θ = 19.18°, I = 26
- 2θ = 21.89°, I = 23
- 2θ = 28.57°, I = 25
- 2θ = 33.55°, I = 84
- 2θ = 37.31°, I = 100
- 2θ = 39.90°, I = 99
- 2θ = 40.42°, I = 42
- 2θ = 62.47°, I = 48
- 2θ = 64.28°, I = 24
- 2θ = 68.67°, I = 27

***

Record 6
Starting from a DFT-relaxed cell (PBE, the Materials Project), the powder XRD pattern of Mg2Bi3O8 was simulated for a wavelength of 1.5418 Å.

Crystal structure
a b c (Å): 6.767 6.767 9.680
angles (deg): 90.00 90.00 120.00
Fractional positions:
Mg  0.333  0.667  0.000
Mg  0.333  0.667  0.370
Mg  0.667  0.333  0.500
Mg  0.667  0.333  0.870
Bi  0.166  0.332  0.711
Bi  0.166  0.834  0.711
Bi  0.332  0.166  0.211
Bi  0.668  0.834  0.711
Bi  0.834  0.166  0.211
Bi  0.834  0.668  0.211
O  0.000  0.000  0.322
O  0.000  0.000  0.822
O  0.033  0.516  0.852
O  0.176  0.353  0.112
O  0.176  0.824  0.112
O  0.333  0.667  0.580
O  0.353  0.176  0.612
O  0.484  0.516  0.852
O  0.484  0.967  0.852
O  0.516  0.033  0.352
O  0.516  0.484  0.352
O  0.647  0.824  0.112
O  0.667  0.333  0.080
O  0.824  0.176  0.612
O  0.824  0.647  0.612
O  0.967  0.484  0.352

Largest 10 diffraction maxima, sorted by position, 2θ from 10° to 90°:
- 2θ = 17.69°, I = 40
- 2θ = 18.33°, I = 85
- 2θ = 31.91°, I = 100
- 2θ = 32.28°, I = 22
- 2θ = 35.82°, I = 29
- 2θ = 41.63°, I = 53
- 2θ = 54.22°, I = 27
- 2θ = 57.02°, I = 33
- 2θ = 57.73°, I = 26
- 2θ = 82.61°, I = 21

***

Record 7
Starting from a DFT-relaxed cell (PBE, the Materials Project), the powder XRD pattern of NaMg14C was simulated for a wavelength of 1.5418 Å.

Crystal structure
a b c (Å): 6.321 6.321 10.029
angles (deg): 90.00 90.00 120.00
Fractional positions:
Na  0.000  0.000  0.000
Mg  0.008  0.504  0.000
Mg  0.160  0.320  0.272
Mg  0.160  0.320  0.728
Mg  0.160  0.840  0.272
Mg  0.160  0.840  0.728
Mg  0.496  0.504  0.000
Mg  0.496  0.992  0.000
Mg  0.505  0.010  0.500
Mg  0.505  0.495  0.500
Mg  0.667  0.333  0.245
Mg  0.667  0.333  0.755
Mg  0.680  0.840  0.272
Mg  0.680  0.840  0.728
Mg  0.990  0.495  0.500
C  0.000  0.000  0.500

Largest 10 diffraction maxima, sorted by position, 2θ from 10° to 90°:
- 2θ = 32.72°, I = 25
- 2θ = 35.82°, I = 23
- 2θ = 37.43°, I = 100
- 2θ = 49.29°, I = 13
- 2θ = 58.40°, I = 17
- 2θ = 65.42°, I = 14
- 2θ = 68.57°, I = 3
- 2θ = 70.43°, I = 17
- 2θ = 71.45°, I = 13
- 2θ = 79.85°, I = 3

***

Record 8
Starting from a DFT-relaxed cell (PBE, the Materials Project), the powder XRD pattern of SmTeAs was simulated for a wavelength of 1.5418 Å.

Crystal structure
a b c (Å): 7.667 4.119 10.153
angles (deg): 90.00 90.00 90.00
Fractional positions:
Sm  0.228  0.250  0.158
Sm  0.272  0.750  0.658
Sm  0.728  0.250  0.342
Sm  0.772  0.750  0.842
Te  0.089  0.250  0.851
Te  0.411  0.750  0.351
Te  0.589  0.250  0.649
Te  0.911  0.750  0.149
As  0.095  0.250  0.461
As  0.405  0.750  0.961
As  0.595  0.250  0.039
As  0.905  0.750  0.539

Largest 10 diffraction maxima, sorted by position, 2θ from 10° to 90°:
- 2θ = 28.84°, I = 44
- 2θ = 30.28°, I = 35
- 2θ = 31.89°, I = 61
- 2θ = 33.12°, I = 55
- 2θ = 36.30°, I = 100
- 2θ = 39.48°, I = 53
- 2θ = 43.96°, I = 31
- 2θ = 53.46°, I = 29
- 2θ = 55.89°, I = 25
- 2θ = 60.55°, I = 31

***

Record 9
Starting from a DFT-relaxed cell (PBE, the Materials Project), the powder XRD pattern of KTe2O6 was simulated for a wavelength of 1.5418 Å.

Crystal structure
a b c (Å): 7.297 7.297 12.197
angles (deg): 103.83 103.83 60.59
Fractional positions:
K  0.067  0.067  0.192
K  0.418  0.418  0.316
K  0.582  0.582  0.684
K  0.933  0.933  0.808
Te  0.000  0.000  0.500
Te  0.000  0.500  0.000
Te  0.000  0.500  0.500
Te  0.236  0.236  0.758
Te  0.500  0.000  0.000
Te  0.500  0.000  0.500
Te  0.500  0.500  0.000
Te  0.764  0.764  0.242
O  0.000  0.492  0.343
O  0.000  0.508  0.657
O  0.019  0.647  0.155
O  0.083  0.083  0.661
O  0.101  0.724  0.546
O  0.182  0.585  0.955
O  0.241  0.241  0.059
O  0.276  0.899  0.454
O  0.307  0.307  0.518
O  0.353  0.981  0.845
O  0.415  0.818  0.045
O  0.492  0.000  0.343
O  0.497  0.497  0.849
O  0.503  0.503  0.151
O  0.508  0.000  0.657
O  0.585  0.182  0.955
O  0.647  0.019  0.155
O  0.693  0.693  0.482
O  0.724  0.101  0.546
O  0.759  0.759  0.941
O  0.818  0.415  0.045
O  0.899  0.276  0.454
O  0.917  0.917  0.339
O  0.981  0.353  0.845

Largest 10 diffraction maxima, sorted by position, 2θ from 10° to 90°:
- 2θ = 14.63°, I = 59
- 2θ = 15.00°, I = 100
- 2θ = 15.12°, I = 57
- 2θ = 28.05°, I = 48
- 2θ = 28.38°, I = 49
- 2θ = 28.61°, I = 78
- 2θ = 29.51°, I = 41
- 2θ = 30.26°, I = 82
- 2θ = 30.51°, I = 41
- 2θ = 50.10°, I = 30

***

Record 10
Starting from a DFT-relaxed cell (PBE, the Materials Project), the powder XRD pattern of Tm2AgOs was simulated for a wavelength of 1.5418 Å.

Crystal structure
a b c (Å): 6.912 6.912 6.912
angles (deg): 90.00 90.00 90.00
Fractional positions:
Tm  0.250  0.250  0.250
Tm  0.250  0.250  0.750
Tm  0.250  0.750  0.250
Tm  0.250  0.750  0.750
Tm  0.750  0.250  0.250
Tm  0.750  0.250  0.750
Tm  0.750  0.750  0.250
Tm  0.750  0.750  0.750
Ag  0.000  0.000  0.000
Ag  0.000  0.500  0.500
Ag  0.500  0.000  0.500
Ag  0.500  0.500  0.000
Os  0.000  0.000  0.500
Os  0.000  0.500  0.000
Os  0.500  0.000  0.000
Os  0.500  0.500  0.500

Largest 10 diffraction maxima, sorted by position, 2θ from 10° to 90°:
- 2θ = 22.28°, I = 3
- 2θ = 36.78°, I = 100
- 2θ = 43.42°, I = 2
- 2θ = 52.99°, I = 18
- 2θ = 58.17°, I = 1
- 2θ = 66.24°, I = 36
- 2θ = 70.83°, I = 1
- 2θ = 78.23°, I = 11
- 2θ = 82.57°, I = 1
- 2θ = 89.72°, I = 17

***

Record 11
Starting from a DFT-relaxed cell (PBE, the Materials Project), the powder XRD pattern of UGe2Rh2 was simulated for a wavelength of 1.5418 Å.

Crystal structure
a b c (Å): 4.115 4.115 11.003
angles (deg): 90.00 90.00 90.00
Fractional positions:
U  0.000  0.000  0.000
U  0.500  0.500  0.454
Ge  0.000  0.000  0.319
Ge  0.000  0.000  0.542
Ge  0.000  0.500  0.697
Ge  0.500  0.000  0.697
Rh  0.000  0.500  0.199
Rh  0.500  0.000  0.199
Rh  0.500  0.500  0.039
Rh  0.500  0.500  0.807

Largest 10 diffraction maxima, sorted by position, 2θ from 10° to 90°:
- 2θ = 23.07°, I = 17
- 2θ = 30.72°, I = 21
- 2θ = 32.71°, I = 52
- 2θ = 34.88°, I = 100
- 2θ = 44.01°, I = 53
- 2θ = 45.37°, I = 22
- 2θ = 46.81°, I = 14
- 2θ = 55.89°, I = 23
- 2θ = 63.99°, I = 17
- 2θ = 75.00°, I = 22